Entry 1:
For CdSiO3, DFT lattice parameters and positions (GGA-PBE) gives the simulated powder X-ray diffraction pattern in this record (CuKα).
Intensities are scaled so that the largest is 100.

Top 10 peaks for 2θ from 10° to 90°, in order of falling intensity:
hkl 2 2 1, 2θ = 30.46°, rel. 100; hkl 1 3 1, 2θ = 33.27°, rel. 98; hkl 2 0 0, 2θ = 18.01°, rel. 77; hkl 2 0 2, 2θ = 37.35°, rel. 61; hkl 3 3 1, 2θ = 42.43°, rel. 60; hkl 1 1 0, 2θ = 12.78°, rel. 43; hkl 2 2 0, 2θ = 25.72°, rel. 34; hkl 5 3 1, 2θ = 57.17°, rel. 34; hkl 0 2 1, 2θ = 24.37°, rel. 33; hkl 3 1 0, 2θ = 28.68°, rel. 31

```
data_CdSiO3
_chemical_formula_sum 'Cd8 Si8 O24'
_cell_length_a 9.8523
_cell_length_b 9.7451
_cell_length_c 5.5200
_cell_angle_alpha 90.00
_cell_angle_beta 90.00
_cell_angle_gamma 90.00
_symmetry_space_group_name_H-M 'P b c n'
_symmetry_Int_Tables_number 60
loop_
_symmetry_equiv_pos_as_xyz
'x,y,z'
'-x,-y,-z'
'-x+1/2,-y+1/2,z+1/2'
'x+1/2,y+1/2,-z+1/2'
'x+1/2,-y+1/2,-z'
'-x+1/2,y+1/2,z'
'-x,y,-z+1/2'
'x,-y,z+1/2'
loop_
_atom_site_label
_atom_site_type_symbol
_atom_site_fract_x
_atom_site_fract_y
_atom_site_fract_z
Cd1 Cd 0.0000 0.1026 0.2500
Cd2 Cd 0.0000 0.2777 0.7500
Si1 Si 0.2098 0.4167 0.0834
O1 O 0.1246 0.0904 0.5911
O2 O 0.1316 0.2703 0.0682
O3 O 0.1582 0.4956 0.8268
```



Entry 2:
For Na4CaZrSi2SO12, DFT lattice parameters and positions (GGA-PBE) gives the simulated powder X-ray diffraction pattern in this record (CuKα).
Intensities are scaled so that the largest is 100.

Top 10 peaks for 2θ from 10° to 90°, in order of falling intensity:
hkl 1 3 1, 2θ = 32.78°, rel. 100; hkl 3 1 -3, 2θ = 29.84°, rel. 67; hkl 2 0 -2, 2θ = 18.75°, rel. 61; hkl 3 1 -1, 2θ = 19.03°, rel. 57; hkl 5 1 -1, 2θ = 30.37°, rel. 52; hkl 4 2 -2, 2θ = 30.13°, rel. 51; hkl 1 1 -1, 2θ = 13.24°, rel. 37; hkl 2 2 -1, 2θ = 22.14°, rel. 27; hkl 4 4 -2, 2θ = 45.18°, rel. 26; hkl 2 2 -2, 2θ = 26.65°, rel. 24

```
data_Na4CaZrSi2SO12
_chemical_formula_sum 'Na16 Ca4 Zr4 Si8 S4 O48'
_cell_length_a 16.0894
_cell_length_b 9.4524
_cell_length_c 9.4699
_cell_angle_alpha 90.00
_cell_angle_beta 124.82
_cell_angle_gamma 90.00
_symmetry_space_group_name_H-M 'C 1 c 1'
_symmetry_Int_Tables_number 9
loop_
_symmetry_equiv_pos_as_xyz
'x,y,z'
'x,-y,z+1/2'
'x+1/2,y+1/2,z'
'x+1/2,-y+1/2,z+1/2'
loop_
_atom_site_label
_atom_site_type_symbol
_atom_site_fract_x
_atom_site_fract_y
_atom_site_fract_z
Na1 Na 0.0000 0.0627 0.0000
Na2 Na 0.1408 0.3874 0.8262
Na3 Na 0.3652 0.0680 0.7201
Na4 Na 0.4296 0.2331 0.1174
Ca1 Ca 0.0643 0.2495 0.4489
Zr1 Zr 0.2599 0.2316 0.2438
Si1 Si 0.0079 0.3949 0.0513
Si2 Si 0.1602 0.0566 0.8591
S1 S 0.3102 0.4079 0.6462
O1 O 0.0010 0.3736 0.2120
O2 O 0.0899 0.1650 0.7010
O3 O 0.0913 0.0333 0.3976
O4 O 0.1192 0.3260 0.1009
O5 O 0.2186 0.3523 0.6253
O6 O 0.2284 0.0555 0.3215
O7 O 0.2502 0.1467 0.0356
O8 O 0.3110 0.3717 0.4923
O9 O 0.3137 0.4337 0.1601
O10 O 0.3983 0.3470 0.8074
O11 O 0.4189 0.1982 0.3780
O12 O 0.4960 0.0639 0.0100
```



Entry 3:
For CdGe2O5, DFT lattice parameters and positions (GGA-PBE) gives the simulated powder X-ray diffraction pattern in this record (CuKα).
Intensities are scaled so that the largest is 100.

Top 10 peaks for 2θ from 10° to 90°, in order of falling intensity:
hkl 1 1 0, 2θ = 29.44°, rel. 100; hkl 2 -1 0, 2θ = 34.10°, rel. 91; hkl 1 0 -2, 2θ = 27.75°, rel. 73; hkl 1 -2 0, 2θ = 33.58°, rel. 60; hkl 0 1 -2, 2θ = 27.16°, rel. 41; hkl -1 1 2, 2θ = 34.80°, rel. 27; hkl 1 -2 4, 2θ = 61.11°, rel. 25; hkl 2 0 2, 2θ = 53.41°, rel. 24; hkl 1 1 -4, 2θ = 52.39°, rel. 20; hkl 1 1 -2, 2θ = 31.20°, rel. 19

```
data_CdGe2O5
_chemical_formula_sum 'Cd2 Ge4 O10'
_cell_length_a 5.4557
_cell_length_b 5.6061
_cell_length_c 7.0516
_cell_angle_alpha 105.36
_cell_angle_beta 103.00
_cell_angle_gamma 106.14
_symmetry_space_group_name_H-M 'P -1'
_symmetry_Int_Tables_number 2
loop_
_symmetry_equiv_pos_as_xyz
'x,y,z'
'-x,-y,-z'
loop_
_atom_site_label
_atom_site_type_symbol
_atom_site_fract_x
_atom_site_fract_y
_atom_site_fract_z
Cd1 Cd 0.1665 0.3142 0.2624
Ge1 Ge 0.1847 0.3192 0.7487
Ge2 Ge 0.5000 0.0000 0.0000
Ge3 Ge 0.5000 0.0000 0.5000
O1 O 0.1291 0.7757 0.4453
O2 O 0.2093 0.1272 0.9106
O3 O 0.2239 0.6454 0.8978
O4 O 0.4146 0.0553 0.2472
O5 O 0.4266 0.3210 0.6157
```



Entry 4:
For Zn3Cu, DFT lattice parameters and positions (GGA-PBE) gives the simulated powder X-ray diffraction pattern in this record (CuKα).
Intensities are scaled so that the largest is 100.

Top 10 peaks for 2θ from 10° to 90°, in order of falling intensity:
hkl 1 1 2, 2θ = 42.09°, rel. 100; hkl 0 2 0, 2θ = 41.69°, rel. 26; hkl 0 0 4, 2θ = 42.33°, rel. 24; hkl 2 0 4, 2θ = 77.24°, rel. 20; hkl 1 3 2, 2θ = 76.37°, rel. 15; hkl 0 2 4, 2θ = 60.92°, rel. 15; hkl 2 0 0, 2θ = 61.18°, rel. 8; hkl 2 2 0, 2θ = 76.77°, rel. 8; hkl 1 1 5, 2θ = 66.43°, rel. 1; hkl 0 0 3, 2θ = 31.42°, rel. 1

```
data_Zn3Cu
_chemical_formula_sum 'Zn6 Cu2'
_cell_length_a 3.0300
_cell_length_b 4.3332
_cell_length_c 8.5410
_cell_angle_alpha 90.00
_cell_angle_beta 90.00
_cell_angle_gamma 90.00
_symmetry_space_group_name_H-M 'C m m m'
_symmetry_Int_Tables_number 65
_symmetry_space_group_name_Hall '-C 2 2'
loop_
_atom_site_label
_atom_site_type_symbol
_atom_site_fract_x
_atom_site_fract_y
_atom_site_fract_z
Zn1 Zn 0.0000 0.0000 0.0000
Zn2 Zn 0.0000 0.5000 0.2637
Cu1 Cu 0.0000 0.0000 0.5000
```



Entry 5:
For Na3Ag, DFT lattice parameters and positions (GGA-PBE) gives the simulated powder X-ray diffraction pattern in this record (CuKα).
Intensities are scaled so that the largest is 100.

Top 10 peaks for 2θ from 10° to 90°, in order of falling intensity:
hkl 2 2 0, 2θ = 33.34°, rel. 100; hkl 1 1 1, 2θ = 20.23°, rel. 52; hkl 4 2 2, 2θ = 59.58°, rel. 34; hkl 3 1 1, 2θ = 39.31°, rel. 28; hkl 2 0 0, 2θ = 23.41°, rel. 28; hkl 4 0 0, 2θ = 47.87°, rel. 17; hkl 6 2 0, 2θ = 79.79°, rel. 13; hkl 3 3 1, 2θ = 52.47°, rel. 12; hkl 4 2 0, 2θ = 53.94°, rel. 11; hkl 4 4 0, 2θ = 70.02°, rel. 10

```
data_Na3Ag
_chemical_formula_sum 'Na12 Ag4'
_cell_length_a 7.6015
_cell_length_b 7.6015
_cell_length_c 7.6015
_cell_angle_alpha 90.00
_cell_angle_beta 90.00
_cell_angle_gamma 90.00
_symmetry_space_group_name_H-M 'F m -3 m'
_symmetry_Int_Tables_number 225
_symmetry_space_group_name_Hall '-F 4 2 3'
loop_
_atom_site_label
_atom_site_type_symbol
_atom_site_fract_x
_atom_site_fract_y
_atom_site_fract_z
Na1 Na 0.0000 0.0000 0.0000
Na2 Na 0.2500 0.2500 0.2500
Ag1 Ag 0.0000 0.0000 0.5000
```



Entry 6:
For ZnB2C8N8, DFT lattice parameters and positions (GGA-PBE) gives the simulated powder X-ray diffraction pattern in this record (CuKα).
Intensities are scaled so that the largest is 100.

Top 10 peaks for 2θ from 10° to 90°, in order of falling intensity:
hkl 0 1 1, 2θ = 19.86°, rel. 100; hkl 0 2 1, 2θ = 30.94°, rel. 62; hkl 1 1 0, 2θ = 23.49°, rel. 50; hkl 1 0 0, 2θ = 13.50°, rel. 35; hkl 0 2 2, 2θ = 40.35°, rel. 29; hkl 0 0 1, 2θ = 14.50°, rel. 19; hkl 1 2 1, 2θ = 39.21°, rel. 18; hkl 2 2 0, 2θ = 48.04°, rel. 14; hkl 1 0 2, 2θ = 32.33°, rel. 14; hkl 1 3 1, 2θ = 52.47°, rel. 13

```
data_ZnB2C8N8
_chemical_formula_sum 'Zn1 B2 C8 N8'
_cell_length_a 7.5759
_cell_length_b 7.5759
_cell_length_c 6.1081
_cell_angle_alpha 90.00
_cell_angle_beta 90.00
_cell_angle_gamma 120.00
_symmetry_space_group_name_H-M 'P -3 m 1'
_symmetry_Int_Tables_number 164
_symmetry_space_group_name_Hall '-P 3 2"'
loop_
_atom_site_label
_atom_site_type_symbol
_atom_site_fract_x
_atom_site_fract_y
_atom_site_fract_z
Zn1 Zn 0.0000 0.0000 0.0000
B1 B 0.3333 0.6667 0.3509
C1 C 0.2194 0.4389 0.2620
C2 C 0.3333 0.6667 0.6103
N1 N 0.1363 0.2726 0.1969
N2 N 0.3333 0.6667 0.8011
```